Zr6Al7Cu16H9: theoretical XRD peak list (CuKα), based on the GGA-PBE geometry in Alexandria.
Lines closer than 0.1° are merged.

Peak list (10 most intense, 10° ≤ 2θ ≤ 80°, by intensity)
d/Å	I_rel
2.334	100
2.144	76
3.502	24
1.430	23
2.050	22
2.476	21
1.219	19
2.022	17
1.401	15
1.850	14

Cell and atoms:
```
Zr6Al7Cu16H9
1.0
0.0000 6.0650 6.0650
6.0650 0.0000 6.0650
6.0650 6.0650 0.0000
Zr Al Cu H
6 7 16 9
Direct
0.2005 0.2005 0.7995 Zr
0.2005 0.7995 0.2005 Zr
0.2005 0.7995 0.7995 Zr
0.7995 0.2005 0.2005 Zr
0.7995 0.2005 0.7995 Zr
0.7995 0.7995 0.2005 Zr
0.0000 0.0000 0.5000 Al
0.0000 0.5000 0.0000 Al
0.0000 0.5000 0.5000 Al
0.5000 0.0000 0.0000 Al
0.5000 0.0000 0.5000 Al
0.5000 0.5000 0.0000 Al
0.5000 0.5000 0.5000 Al
0.1422 0.6193 0.6193 Cu
0.1755 0.1755 0.1755 Cu
0.1755 0.1755 0.4734 Cu
0.1755 0.4734 0.1755 Cu
0.3807 0.3807 0.3807 Cu
0.3807 0.3807 0.8578 Cu
0.3807 0.8578 0.3807 Cu
0.4734 0.1755 0.1755 Cu
0.5266 0.8245 0.8245 Cu
0.6193 0.1422 0.6193 Cu
0.6193 0.6193 0.1422 Cu
0.6193 0.6193 0.6193 Cu
0.8245 0.5266 0.8245 Cu
0.8245 0.8245 0.5266 Cu
0.8245 0.8245 0.8245 Cu
0.8578 0.3807 0.3807 Cu
0.0000 0.0000 0.0000 H
0.0946 0.0946 0.0946 H
0.0946 0.0946 0.7161 H
0.0946 0.7161 0.0946 H
0.2839 0.9054 0.9054 H
0.7161 0.0946 0.0946 H
0.9054 0.2839 0.9054 H
0.9054 0.9054 0.2839 H
0.9054 0.9054 0.9054 H
```